Record 1
For Tb3NdSc3, the PBE geometry in Alexandria gives the computed XRD peak list in this record (Cu Kα (λ = 1.5418 Å)).
Neutral-atom scattering factors, no anomalous dispersion.

Top 10 peaks for 10° ≤ 2θ ≤ 80°, most intense first:
2θ 33.00, intensity 100
2θ 24.78, intensity 88
2θ 33.33, intensity 76
2θ 29.95, intensity 67
2θ 54.98, intensity 42
2θ 33.83, intensity 41
2θ 32.22, intensity 36
2θ 32.61, intensity 23
2θ 14.84, intensity 22
2θ 46.00, intensity 21

Cell: 8.5207 8.5207 8.5207 Å, 58.78 58.78 58.78°
Fractional coordinates of all 14 atoms:
Tb1 0.0689 0.5671 0.2221
Tb2 0.2221 0.0689 0.5671
Tb3 0.4329 0.7779 0.9311
Tb4 0.5671 0.2221 0.0689
Tb5 0.7779 0.9311 0.4329
Tb6 0.9311 0.4329 0.7779
Nd1 0.1515 0.1515 0.1515
Nd2 0.8485 0.8485 0.8485
Sc1 0.2242 0.6672 0.4374
Sc2 0.3328 0.5626 0.7758
Sc3 0.4374 0.2242 0.6672
Sc4 0.5626 0.7758 0.3328
Sc5 0.6672 0.4374 0.2242
Sc6 0.7758 0.3328 0.5626

***

Record 2
For Tb3NdSc3, the PBE geometry in Alexandria gives the computed XRD peak list in this record (Cu Kα (λ = 1.5418 Å)).
Neutral-atom scattering factors, no anomalous dispersion.

Top 10 peaks for 10° ≤ 2θ ≤ 80°, most intense first:
2θ 35.12, intensity 100
2θ 17.70, intensity 90
2θ 30.09, intensity 86
2θ 32.27, intensity 78
2θ 33.09, intensity 60
2θ 27.83, intensity 52
2θ 33.26, intensity 52
2θ 30.24, intensity 29
2θ 31.41, intensity 29
2θ 58.11, intensity 29

Cell: 6.4358 6.4358 10.0205 Å, 90.28 90.28 94.90°
Fractional coordinates of all 14 atoms:
Tb1 0.1876 0.8124 0.0000
Tb2 0.1939 0.8061 0.5000
Tb3 0.3173 0.3173 0.4340
Tb4 0.6827 0.6827 0.5660
Tb5 0.8061 0.1939 0.5000
Tb6 0.8124 0.1876 0.0000
Nd1 0.3273 0.3273 0.0803
Nd2 0.6727 0.6727 0.9197
Sc1 0.0046 0.0046 0.2529
Sc2 0.1321 0.4851 0.7493
Sc3 0.4851 0.1321 0.7493
Sc4 0.5149 0.8679 0.2507
Sc5 0.8679 0.5149 0.2507
Sc6 0.9954 0.9954 0.7471